Computed powder XRD pattern of HgP for Cu Ka, from DFT lattice parameters and positions (GGA-PBE).
Kinematic intensities with the Lorentz-polarization factor, no thermal factor.

Largest 10 diffraction maxima, low angle first, 10 to 90 degrees two-theta:
two_theta  Rel. int.
25.64  68
31.38  56
33.33  100
34.42  85
34.51  29
38.96  27
49.54  17
55.60  32
62.12  18
62.27  17

Crystal structure
```
HgP
1.0
3.305 0.000 0.000
-1.652 2.863 0.000
-0.027 -1.871 10.424
Hg P
2 2
Direct
0.119 0.228 0.352 Hg
0.881 0.772 0.648 Hg
0.314 0.628 0.941 P
0.686 0.372 0.059 P
```

***

Computed powder XRD pattern of HgP for Cu Ka, from DFT lattice parameters and positions (GGA-PBE).
Kinematic intensities with the Lorentz-polarization factor, no thermal factor.

Largest 10 diffraction maxima, low angle first, 10 to 90 degrees two-theta:
two_theta  Rel. int.
11.74  100
26.61  65
29.72  29
29.89  27
32.19  59
32.47  58
32.62  62
34.14  38
35.74  33
38.03  36

Crystal structure
```
HgP
1.0
3.259 0.000 0.000
1.602 3.826 0.000
0.045 0.332 7.538
Hg P
2 2
Direct
0.113 0.270 0.355 Hg
0.887 0.730 0.645 Hg
0.314 0.867 0.073 P
0.686 0.133 0.927 P
```

***

Computed powder XRD pattern of HgP for Cu Ka, from DFT lattice parameters and positions (GGA-PBE).
Kinematic intensities with the Lorentz-polarization factor, no thermal factor.

Largest 10 diffraction maxima, low angle first, 10 to 90 degrees two-theta:
two_theta  Rel. int.
20.88  100
23.91  60
24.72  82
31.95  97
32.57  79
34.66  66
40.81  89
49.35  30
55.96  36
60.05  28

Crystal structure
```
HgP
1.0
7.204 0.000 0.000
0.000 7.442 0.000
0.000 0.000 8.509
Hg P
8 8
Direct
0.000 0.246 0.249 Hg
0.000 0.250 0.749 Hg
0.000 0.746 0.251 Hg
0.000 0.750 0.751 Hg
0.500 0.250 0.251 Hg
0.500 0.254 0.751 Hg
0.500 0.750 0.249 Hg
0.500 0.754 0.749 Hg
0.118 0.000 0.585 P
0.119 0.497 0.086 P
0.381 0.503 0.586 P
0.382 0.000 0.085 P
0.618 0.500 0.415 P
0.619 0.003 0.914 P
0.881 0.997 0.414 P
0.882 0.500 0.915 P
```

***

Computed powder XRD pattern of HgP for Cu Ka, from DFT lattice parameters and positions (GGA-PBE).
Kinematic intensities with the Lorentz-polarization factor, no thermal factor.

Largest 10 diffraction maxima, low angle first, 10 to 90 degrees two-theta:
two_theta  Rel. int.
25.44  100
31.25  40
32.29  56
32.43  58
32.57  69
34.15  34
35.46  78
35.72  61
36.02  66
55.63  44

Crystal structure
```
HgP
1.0
3.304 0.000 0.000
1.649 2.863 0.000
0.117 0.180 10.502
Hg P
2 2
Direct
0.000 0.000 0.000 Hg
0.285 0.331 0.293 Hg
0.608 0.637 0.694 P
0.942 0.978 0.577 P
```

***

Computed powder XRD pattern of PaHgP for Cu Ka, from DFT lattice parameters and positions (GGA-PBE).
Kinematic intensities with the Lorentz-polarization factor, no thermal factor.

Largest 10 diffraction maxima, low angle first, 10 to 90 degrees two-theta:
two_theta  Rel. int.
18.97  27
23.45  72
27.92  45
29.04  37
31.30  100
31.55  52
34.31  28
39.11  28
40.26  55
44.52  31

Crystal structure
```
PaHgP
1.0
0.000 6.147 7.215
3.564 0.000 7.215
3.564 6.147 0.000
Pa Hg P
4 4 4
Direct
0.041 0.709 0.041 Pa
0.291 0.959 0.291 Pa
0.709 0.041 0.709 Pa
0.959 0.291 0.959 Pa
0.000 0.500 0.500 Hg
0.500 0.000 0.500 Hg
0.500 0.500 0.000 Hg
0.500 0.500 0.500 Hg
0.000 0.000 0.250 P
0.000 0.000 0.750 P
0.250 0.250 0.000 P
0.750 0.750 0.000 P
```

***

Computed powder XRD pattern of Hg2PPd8 for Cu Ka, from DFT lattice parameters and positions (GGA-PBE).
Kinematic intensities with the Lorentz-polarization factor, no thermal factor.

Largest 10 diffraction maxima, low angle first, 10 to 90 degrees two-theta:
two_theta  Rel. int.
35.01  40
37.28  50
38.93  100
39.28  50
41.57  21
42.53  15
45.94  24
46.10  24
65.89  18
71.60  14

Crystal structure
```
Hg2PPd8
1.0
3.327 -6.591 0.000
3.327 6.591 0.000
-2.719 0.000 4.141
Hg P Pd
2 1 8
Direct
0.195 0.805 0.000 Hg
0.805 0.195 0.000 Hg
0.480 0.480 0.750 P
0.067 0.284 0.643 Pd
0.284 0.067 0.643 Pd
0.307 0.307 0.208 Pd
0.307 0.694 0.505 Pd
0.582 0.801 0.173 Pd
0.694 0.307 0.505 Pd
0.801 0.582 0.173 Pd
0.817 0.817 0.732 Pd
```